Simulated powder XRD pattern
Compound: Ca3Ga2Cu2
Radiation: Cu Kα
Structure: a cell relaxed with GGA-PBE

Atomic structure:
```
data_Ca3Ga2Cu2
_chemical_formula_sum 'Ca12 Ga8 Cu8'
_symmetry_space_group_name_H-M 'P 1'
_symmetry_Int_Tables_number 1
_cell_length_a 5.733
_cell_length_b 8.215
_cell_length_c 13.381
_cell_angle_alpha 90.00
_cell_angle_beta 90.00
_cell_angle_gamma 90.00
loop_
_symmetry_equiv_pos_as_xyz
'x,y,z'
loop_
_atom_site_label
_atom_site_type_symbol
_atom_site_fract_x
_atom_site_fract_y
_atom_site_fract_z
Ca1 Ca 0.136 0.113 0.102
Ca2 Ca 0.136 0.113 0.398
Ca3 Ca 0.136 0.387 0.602
Ca4 Ca 0.136 0.387 0.898
Ca5 Ca 0.349 0.740 0.750
Ca6 Ca 0.349 0.760 0.250
Ca7 Ca 0.651 0.240 0.750
Ca8 Ca 0.651 0.260 0.250
Ca9 Ca 0.864 0.613 0.102
Ca10 Ca 0.864 0.613 0.398
Ca11 Ca 0.864 0.887 0.602
Ca12 Ca 0.864 0.887 0.898
Ga1 Ga 0.170 0.088 0.750
Ga2 Ga 0.170 0.412 0.250
Ga3 Ga 0.367 0.750 0.000
Ga4 Ga 0.367 0.750 0.500
Ga5 Ga 0.633 0.250 0.000
Ga6 Ga 0.633 0.250 0.500
Ga7 Ga 0.830 0.588 0.750
Ga8 Ga 0.830 0.912 0.250
Cu1 Cu 0.383 0.029 0.587
Cu2 Cu 0.383 0.029 0.913
Cu3 Cu 0.383 0.471 0.087
Cu4 Cu 0.383 0.471 0.413
Cu5 Cu 0.617 0.529 0.587
Cu6 Cu 0.617 0.529 0.913
Cu7 Cu 0.617 0.971 0.087
Cu8 Cu 0.617 0.971 0.413
```

Main lines, sorted by position (10° ≤ 2θ ≤ 80°):
15.5°, I = 28; 20.0°, I = 43; 20.4°, I = 34; 32.9°, I = 25; 33.1°, I = 38; 33.5°, I = 33; 34.6°, I = 31; 36.4°, I = 62; 38.1°, I = 32; 38.9°, I = 100; 46.3°, I = 25; 47.0°, I = 22